Computed X-ray powder pattern
Compound: Mg2C
Radiation: Cu Kα (λ = 1.5418 Å)
Structure: a structure optimized by DFT (GGA-PBE)
Intensities are scaled so that the largest is 100.

Peak list (10 most intense, 15 to 90 degrees two-theta, in order of rising 2θ)
- 2θ 16.6, I 26
- 2θ 29.5, I 48
- 2θ 33.6, I 55
- 2θ 35.1, I 49
- 2θ 35.5, I 64
- 2θ 38.8, I 100
- 2θ 41.9, I 77
- 2θ 42.7, I 27
- 2θ 50.7, I 29
- 2θ 58.2, I 24

Crystal structure
a = 5.9921 Å, b = 5.9921 Å, c = 6.0386 Å
α = 116.78°, β = 116.78°, γ = 30.67°
Fractional positions:
Mg (0.1264, 0.1264, 0.2740)
Mg (0.1401, 0.1401, 0.7728)
Mg (0.8599, 0.8599, 0.2272)
Mg (0.8736, 0.8736, 0.7260)
C (0.4672, 0.4672, 0.5690)
C (0.5328, 0.5328, 0.4310)